Calculated powder X-ray diffraction pattern
Compound: Ca5Cr2N6
Radiation: Cu Ka
Structure: DFT lattice parameters and positions (GGA-PBE)
Lines closer than 0.1° are merged.

Crystal structure
```
Ca5Cr2N6
1.0
10.0347 0.0000 0.0000
0.0000 11.4102 0.0000
0.0000 0.0000 3.3520
Ca Cr N
10 4 12
Direct
0.0000 0.0000 0.0000 Ca
0.0299 0.2583 0.0000 Ca
0.1929 0.5170 0.0000 Ca
0.3071 0.0170 0.0000 Ca
0.4701 0.7583 0.0000 Ca
0.5000 0.5000 0.0000 Ca
0.5299 0.2417 0.0000 Ca
0.6929 0.9830 0.0000 Ca
0.8071 0.4830 0.0000 Ca
0.9701 0.7417 0.0000 Ca
0.2249 0.7298 0.5000 Cr
0.2751 0.2298 0.5000 Cr
0.7249 0.7702 0.5000 Cr
0.7751 0.2702 0.5000 Cr
0.0821 0.6330 0.5000 N
0.1337 0.1168 0.5000 N
0.2240 0.8096 0.0000 N
0.2760 0.3096 0.0000 N
0.3663 0.6168 0.5000 N
0.4179 0.1330 0.5000 N
0.5821 0.8670 0.5000 N
0.6337 0.3832 0.5000 N
0.7240 0.6904 0.0000 N
0.7760 0.1904 0.0000 N
0.8663 0.8832 0.5000 N
0.9179 0.3670 0.5000 N
```

Most intense lines, 2θ = 10–90°, in order of rising 2θ:
2θ 15.5, intensity 50, hkl 0 2 0
2θ 17.9, intensity 35, hkl 1 2 0
2θ 30.9, intensity 39, hkl 0 2 1
2θ 31.4, intensity 70, hkl 0 4 0
2θ 35.8, intensity 55, hkl 4 0 0
2θ 35.9, intensity 100, hkl 2 2 1
2θ 38.8, intensity 35, hkl 3 1 1
2θ 45.1, intensity 37, hkl 3 3 1
2θ 45.5, intensity 39, hkl 2 4 1
2θ 48.3, intensity 42, hkl 4 4 0